Diffraction record for Tb2Pm2Dy5. The powder X-ray diffraction pattern is theoretical, not measured: it uses a cell relaxed with GGA-PBE and λ = 1.5418 Å (Cu Kα).
Peak positions follow from Bragg's law for the DFT cell and can differ from measured ones.

The 10 most intense peaks (2θ from 10° to 90°), in order of rising 2θ:
- d = 3.145 Å, 28.38 deg, I 85
- d = 2.948 Å, 30.32 deg, I 100
- d = 2.926 Å, 30.55 deg, I 81
- d = 2.892 Å, 30.92 deg, I 60
- d = 2.724 Å, 32.88 deg, I 65
- d = 2.715 Å, 32.99 deg, I 47
- d = 2.510 Å, 35.77 deg, I 55
- d = 2.376 Å, 37.86 deg, I 39
- d = 2.275 Å, 39.62 deg, I 25
- d = 1.572 Å, 58.72 deg, I 24

Cell and atoms:
Cell lengths 10.0860, 10.0860, 10.0860 Å; angles 84.64, 108.47, 140.96 degrees
Fractional coordinates of all 18 atoms:
Tb (0.0000, 0.0000, 0.0000)
Tb (0.0000, 0.5000, 0.5000)
Tb (0.9000, 0.6609, 0.7391)
Tb (0.9218, 0.1609, 0.2609)
Pm (0.4576, 0.5860, 0.1253)
Pm (0.4576, 0.8323, 0.3716)
Pm (0.4607, 0.0860, 0.6284)
Pm (0.4607, 0.3323, 0.8747)
Dy (0.0569, 0.3624, 0.7993)
Dy (0.0569, 0.7576, 0.1945)
Dy (0.3638, 0.8598, 0.0041)
Dy (0.3661, 0.2735, 0.3787)
Dy (0.3661, 0.4874, 0.5926)
Dy (0.5631, 0.2576, 0.2007)
Dy (0.5631, 0.8624, 0.8055)
Dy (0.8557, 0.3598, 0.9959)
Dy (0.8949, 0.7735, 0.4074)
Dy (0.8949, 0.9874, 0.6213)


Diffraction record for Tb8Pm3Dy. The powder X-ray diffraction pattern is theoretical, not measured: it uses a cell relaxed with GGA-PBE and λ = 1.5418 Å (Cu Kα).
Peak positions follow from Bragg's law for the DFT cell and can differ from measured ones.

The 10 most intense peaks (2θ from 10° to 90°), in order of rising 2θ:
- d = 5.639 Å, 15.71 deg, I 26
- d = 2.870 Å, 31.16 deg, I 52
- d = 2.835 Å, 31.56 deg, I 100
- d = 2.824 Å, 31.68 deg, I 44
- d = 2.814 Å, 31.80 deg, I 23
- d = 2.527 Å, 35.53 deg, I 39
- d = 1.783 Å, 51.23 deg, I 23
- d = 1.650 Å, 55.73 deg, I 27
- d = 1.630 Å, 56.44 deg, I 19
- d = 1.418 Å, 65.89 deg, I 24

Cell and atoms:
Cell lengths 8.6881, 8.6881, 8.6881 Å; angles 136.15, 98.73, 97.30 degrees
Fractional coordinates of all 12 atoms:
Tb (0.0829, 0.2505, 0.8324)
Tb (0.2544, 0.2477, 0.5022)
Tb (0.2544, 0.7523, 0.0067)
Tb (0.4181, 0.2505, 0.1676)
Tb (0.5819, 0.7495, 0.8324)
Tb (0.7456, 0.2477, 0.9933)
Tb (0.7456, 0.7523, 0.4978)
Tb (0.9171, 0.7495, 0.1676)
Pm (0.0000, 0.0000, 0.0000)
Pm (0.2529, 0.7529, 0.5000)
Pm (0.7471, 0.2471, 0.5000)
Dy (0.5000, 0.5000, 0.0000)


Diffraction record for Tb3Pm3Dy5. The powder X-ray diffraction pattern is theoretical, not measured: it uses a cell relaxed with GGA-PBE and λ = 1.5418 Å (Cu Kα).
Peak positions follow from Bragg's law for the DFT cell and can differ from measured ones.

The 10 most intense peaks (2θ from 10° to 90°), in order of rising 2θ:
- d = 8.362 Å, 10.58 deg, I 30
- d = 5.480 Å, 16.18 deg, I 46
- d = 3.324 Å, 26.82 deg, I 53
- d = 3.161 Å, 28.24 deg, I 25
- d = 2.787 Å, 32.11 deg, I 40
- d = 2.739 Å, 32.70 deg, I 100
- d = 2.484 Å, 36.16 deg, I 65
- d = 2.136 Å, 42.32 deg, I 26
- d = 1.954 Å, 46.48 deg, I 29
- d = 1.317 Å, 71.66 deg, I 21

Cell and atoms:
Cell lengths 9.6556, 9.6556, 5.4797 Å; angles 90.00, 90.00, 120.00 degrees
Fractional coordinates of all 11 atoms:
Tb (0.0000, 0.5500, 0.0000)
Tb (0.4500, 0.4500, 0.0000)
Tb (0.5500, 0.0000, 0.0000)
Pm (0.0000, 0.3653, 0.5000)
Pm (0.3653, 0.0000, 0.5000)
Pm (0.6347, 0.6347, 0.5000)
Dy (0.0000, 0.7321, 0.5000)
Dy (0.2679, 0.2679, 0.5000)
Dy (0.3333, 0.6667, 0.5000)
Dy (0.6667, 0.3333, 0.5000)
Dy (0.7321, 0.0000, 0.5000)


Diffraction record for Tb3Pm4Dy2. The powder X-ray diffraction pattern is theoretical, not measured: it uses a cell relaxed with GGA-PBE and λ = 1.5418 Å (Cu Kα).
Peak positions follow from Bragg's law for the DFT cell and can differ from measured ones.

The 10 most intense peaks (2θ from 10° to 90°), in order of rising 2θ:
- d = 2.936 Å, 30.44 deg, I 100
- d = 2.927 Å, 30.54 deg, I 33
- d = 2.541 Å, 35.32 deg, I 67
- d = 1.797 Å, 50.81 deg, I 24
- d = 1.794 Å, 50.89 deg, I 16
- d = 1.535 Å, 60.30 deg, I 10
- d = 1.533 Å, 60.38 deg, I 24
- d = 1.531 Å, 60.47 deg, I 19
- d = 1.468 Å, 63.33 deg, I 8
- d = 1.136 Å, 85.49 deg, I 11

Cell and atoms:
Cell lengths 6.2141, 6.2141, 14.8189 Å; angles 110.55, 110.55, 33.69 degrees
Fractional coordinates of all 9 atoms:
Tb (0.0000, 0.0000, 0.0000)
Tb (0.1117, 0.1117, 0.4443)
Tb (0.8883, 0.8883, 0.5557)
Pm (0.2219, 0.2219, 0.8886)
Pm (0.3335, 0.3335, 0.3339)
Pm (0.6665, 0.6665, 0.6661)
Pm (0.7781, 0.7781, 0.1114)
Dy (0.4440, 0.4440, 0.7773)
Dy (0.5560, 0.5560, 0.2227)